Entry 1:
For Nd3YEr8, a crystal structure in Alexandria, relaxed with PBE gives the simulated powder diffraction line list in this record (Cu Kα X-rays).
Kinematic intensities with the Lorentz-polarization factor, no thermal factor.

Largest 12 diffraction maxima, low angle first, 15 to 90 degrees two-theta:
(2 1 1), 24.1°, rel. 86
(2 0 2), 25.8°, rel. 82
(2 2 0), 29.0°, rel. 86
(0 0 4), 31.6°, rel. 83
(2 2 2), 33.1°, rel. 71
(3 1 2), 36.2°, rel. 100
(2 2 4), 43.4°, rel. 58
(4 0 2), 44.5°, rel. 78
(4 2 2), 49.4°, rel. 30
(5 1 2), 56.2°, rel. 27
(4 4 0), 60.0°, rel. 27
(4 4 4), 69.4°, rel. 45

Atomic structure:
Cell: 8.722 8.722 11.308 Å, 90.00 90.00 90.00°
Space group I-42m (No. 121)
One atom of each set of equivalent atoms:
Nd 0.000 0.000 0.000 [2 per cell]
Nd 0.000 0.500 0.250 [4 per cell]
Y 0.000 0.000 0.500 [2 per cell]
Er 0.126 0.126 0.249 [8 per cell]
Er 0.249 0.249 0.999 [8 per cell]

---

Entry 2:
For NdY7Er3, a crystal structure in Alexandria, relaxed with PBE gives the simulated powder diffraction line list in this record (Cu Kα X-rays).
Kinematic intensities with the Lorentz-polarization factor, no thermal factor.

Largest 12 diffraction maxima, low angle first, 15 to 90 degrees two-theta:
(1 0 1), 17.7°, rel. 11
(2 0 1), 30.9°, rel. 100
(0 0 3), 31.2°, rel. 32
(0 2 2), 35.9°, rel. 67
(2 2 0), 51.6°, rel. 23
(2 0 4), 51.9°, rel. 23
(0 4 1), 61.3°, rel. 14
(2 2 3), 61.5°, rel. 27
(0 2 5), 61.8°, rel. 14
(4 0 2), 64.4°, rel. 12
(4 2 1), 84.2°, rel. 11
(2 4 2), 87.0°, rel. 11

Atomic structure:
Cell: 7.0907 7.0907 8.6012 Å, 90.00 90.00 120.00°
Space group P3m1 (No. 156)
One atom of each set of equivalent atoms:
Nd 0.0000 0.0000 0.0000 [1 per cell]
Y 0.0024 0.5012 0.9972 [3 per cell]
Y 0.3307 0.1654 0.3331 [3 per cell]
Y 0.3333 0.6667 0.3310 [1 per cell]
Er 0.1671 0.3341 0.6640 [3 per cell]

---

Entry 3:
For NdY6Er3, a crystal structure in Alexandria, relaxed with PBE gives the simulated powder diffraction line list in this record (Cu Kα X-rays).
Kinematic intensities with the Lorentz-polarization factor, no thermal factor.

Largest 12 diffraction maxima, low angle first, 15 to 90 degrees two-theta:
(0 2 1), 16.2°, rel. 13
(2 4 1), 28.8°, rel. 39
(0 6 1), 29.2°, rel. 38
(1 1 2), 29.7°, rel. 12
(1 7 0), 31.4°, rel. 100
(1 3 2), 32.1°, rel. 34
(0 4 2), 32.8°, rel. 28
(3 3 1), 33.7°, rel. 40
(2 6 1), 34.7°, rel. 20
(3 5 0), 35.1°, rel. 16
(2 2 3), 47.4°, rel. 12
(5 7 0), 56.7°, rel. 22

Atomic structure:
Cell: 9.664 20.934 6.402 Å, 90.00 90.00 90.00°
Space group Cmc2_1 (No. 36)
One atom of each set of equivalent atoms:
Nd 0.000 0.162 0.000 [4 per cell]
Y 0.000 0.015 0.198 [4 per cell]
Y 0.000 0.301 0.224 [4 per cell]
Y 0.176 0.282 0.682 [8 per cell]
Y 0.180 0.441 0.439 [8 per cell]
Er 0.000 0.418 0.914 [4 per cell]
Er 0.170 0.126 0.525 [8 per cell]

---

Entry 4:
For Nd9Y2Er3, a crystal structure in Alexandria, relaxed with PBE gives the simulated powder diffraction line list in this record (Cu Kα X-rays).
Kinematic intensities with the Lorentz-polarization factor, no thermal factor.

Largest 12 diffraction maxima, low angle first, 15 to 90 degrees two-theta:
(0 0 4), 25.3°, rel. 32
(2 0 3), 29.7°, rel. 39
(2 1 1), 30.8°, rel. 69
(1 1 4), 32.2°, rel. 15
(2 1 2), 32.8°, rel. 100
(1 0 5), 33.8°, rel. 21
(2 1 3), 35.8°, rel. 31
(2 1 5), 44.4°, rel. 12
(1 3 5), 53.2°, rel. 17
(1 4 0), 53.5°, rel. 29
(1 4 4), 60.1°, rel. 19
(2 1 9), 67.7°, rel. 15

Atomic structure:
Cell: 9.0593 9.0593 14.0764 Å, 90.00 90.00 120.00°
Space group P6_3/m (No. 176)
One atom of each set of equivalent atoms:
Nd 0.0806 0.4813 0.2500 [6 per cell]
Nd 0.1323 0.7261 0.0423 [12 per cell]
Y 0.3333 0.6667 0.6424 [4 per cell]
Er 0.0764 0.2490 0.7500 [6 per cell]

---

Entry 5:
For Nd5Y4Er3, a crystal structure in Alexandria, relaxed with PBE gives the simulated powder diffraction line list in this record (Cu Kα X-rays).
Kinematic intensities with the Lorentz-polarization factor, no thermal factor.

Largest 12 diffraction maxima, low angle first, 15 to 90 degrees two-theta:
(0 0 4), 27.9°, rel. 16
(1 1 3), 29.2°, rel. 91
(3 1 -2), 29.5°, rel. 100
(0 2 0), 32.7°, rel. 61
(4 0 1), 34.6°, rel. 83
(4 2 1), 48.4°, rel. 65
(6 0 -4), 50.2°, rel. 15
(1 3 3), 56.2°, rel. 15
(3 3 -2), 56.3°, rel. 15
(5 1 4), 58.6°, rel. 14
(6 2 -4), 61.1°, rel. 14
(4 4 1), 79.1°, rel. 16

Atomic structure:
Cell: 11.523 5.481 13.233 Å, 90.00 104.65 90.00°
Space group C2/m (No. 12)
One atom of each set of equivalent atoms:
Nd 0.000 0.000 0.000 [2 per cell]
Nd 0.139 0.000 0.465 [4 per cell]
Nd 0.172 0.500 0.263 [4 per cell]
Y 0.089 0.500 0.630 [4 per cell]
Y 0.231 0.500 0.896 [4 per cell]
Er 0.000 0.500 0.000 [2 per cell]
Er 0.044 0.000 0.782 [4 per cell]

---

Entry 6:
For Nd3Y3Er8, a crystal structure in Alexandria, relaxed with PBE gives the simulated powder diffraction line list in this record (Cu Kα X-rays).
Kinematic intensities with the Lorentz-polarization factor, no thermal factor.

Largest 12 diffraction maxima, low angle first, 15 to 90 degrees two-theta:
(0 3 1), 25.3°, rel. 13
(1 1 4), 29.9°, rel. 25
(0 3 3), 30.5°, rel. 16
(2 0 0), 31.8°, rel. 100
(1 0 5), 34.0°, rel. 35
(2 3 1), 41.1°, rel. 9
(2 3 3), 44.7°, rel. 12
(0 4 6), 49.7°, rel. 10
(3 3 2), 56.6°, rel. 13
(2 4 6), 60.2°, rel. 11
(2 6 0), 60.8°, rel. 12
(0 0 10), 62.2°, rel. 12

Atomic structure:
Cell: 5.628 10.866 14.927 Å, 90.00 90.00 90.00°
Space group Immm (No. 71)
One atom of each set of equivalent atoms:
Nd 0.000 0.000 0.000 [2 per cell]
Nd 0.000 0.500 0.316 [4 per cell]
Y 0.000 0.000 0.500 [2 per cell]
Y 0.000 0.297 0.500 [4 per cell]
Er 0.000 0.160 0.278 [8 per cell]
Er 0.000 0.344 0.103 [8 per cell]

---

Entry 7:
For NdY12Er2, a crystal structure in Alexandria, relaxed with PBE gives the simulated powder diffraction line list in this record (Cu Kα X-rays).
Kinematic intensities with the Lorentz-polarization factor, no thermal factor.

Largest 12 diffraction maxima, low angle first, 15 to 90 degrees two-theta:
(1 1 4), 24.2°, rel. 31
(0 0 7), 24.7°, rel. 24
(2 0 2), 28.7°, rel. 58
(2 0 3), 29.8°, rel. 56
(2 0 4), 31.3°, rel. 79
(1 1 7), 31.7°, rel. 100
(0 0 9), 32.0°, rel. 25
(2 1 3), 33.0°, rel. 49
(2 1 6), 38.0°, rel. 32
(2 2 0), 39.7°, rel. 44
(3 1 4), 47.1°, rel. 26
(3 1 9), 56.0°, rel. 36

Atomic structure:
Cell: 6.415 6.415 25.203 Å, 90.00 90.00 90.00°
Space group P4/nbm (No. 125, origin choice 2)
One atom of each set of equivalent atoms:
Nd 0.250 0.750 0.000 [2 per cell]
Y 0.068 0.568 0.117 [8 per cell]
Y 0.081 0.581 0.439 [8 per cell]
Y 0.250 0.250 0.217 [4 per cell]
Y 0.250 0.250 0.339 [4 per cell]
Er 0.250 0.750 0.276 [4 per cell]

---

Entry 8:
For Nd9YEr2, a crystal structure in Alexandria, relaxed with PBE gives the simulated powder diffraction line list in this record (Cu Kα X-rays).
Kinematic intensities with the Lorentz-polarization factor, no thermal factor.

Largest 9 diffraction maxima, low angle first, 15 to 90 degrees two-theta:
(1 0 1), 18.2°, rel. 1
(1 1 3), 30.0°, rel. 100
(2 0 0), 34.8°, rel. 51
(2 2 0), 50.1°, rel. 36
(3 1 3), 59.5°, rel. 43
(2 2 6), 62.4°, rel. 12
(4 0 0), 73.5°, rel. 6
(3 3 3), 81.4°, rel. 18
(4 2 0), 84.0°, rel. 16

Atomic structure:
Cell: 5.151 5.151 15.459 Å, 90.00 90.00 90.00°
Space group P4/mmm (No. 123)
One atom of each set of equivalent atoms:
Nd 0.000 0.000 0.000 [1 per cell]
Nd 0.000 0.000 0.334 [2 per cell]
Nd 0.000 0.500 0.168 [4 per cell]
Nd 0.000 0.500 0.500 [2 per cell]
Y 0.500 0.500 0.000 [1 per cell]
Er 0.500 0.500 0.334 [2 per cell]